Calculated X-ray powder pattern
Compound: VFeOsO6
Radiation: a wavelength of 1.5418 Å
Structure: DFT lattice parameters and positions (PBE+U)
Neutral-atom scattering factors, no anomalous dispersion.

a = 4.8822 Å, b = 4.8822 Å, c = 8.8392 Å
α = 90.00°, β = 90.00°, γ = 120.00°
Element x y z (fractional)
1 V 0.3333 0.6667 0.2500
2 V 0.6667 0.3333 0.7500
3 Fe 0.0000 0.0000 0.0000
4 Fe 0.0000 0.0000 0.5000
5 Os 0.3333 0.6667 0.7500
6 Os 0.6667 0.3333 0.2500
7 O 0.0024 0.3332 0.6254
8 O 0.0024 0.6691 0.8746
9 O 0.3309 0.3332 0.8746
10 O 0.3309 0.9976 0.6254
11 O 0.3332 0.0024 0.1254
12 O 0.3332 0.3309 0.3746
13 O 0.6668 0.6691 0.6254
14 O 0.6668 0.9976 0.8746
15 O 0.6691 0.0024 0.3746
16 O 0.6691 0.6668 0.1254
17 O 0.9976 0.3309 0.1254
18 O 0.9976 0.6668 0.3746

Principal peaks in the range 5° ≤ 2θ ≤ 70°, low angle first:
| (hkl) | 2θ (°) | I_rel |
| --- | --- | --- |
| 0 0 2 | 20.09 | 41 |
| 1 0 1 | 23.32 | 74 |
| 1 0 2 | 29.23 | 100 |
| 1 1 0 | 36.82 | 52 |
| 1 1 2 | 42.30 | 44 |
| 1 1 4 | 56.14 | 56 |